TaNiPO2: computed PXRD pattern (a wavelength of 1.5418 Å), based on the GGA+U geometry in Alexandria.
Peak positions follow from Bragg's law for the DFT cell and can differ from measured ones.

Peak list (8 most intense, 2θ from 10° to 90°, in order of falling intensity)
| h k l | 2θ/deg | I_rel |
| --- | --- | --- |
| 1 0 1 | 28.64 | 1000 |
| 1 1 0 | 32.88 | 449 |
| 1 0 0 | 23.09 | 394 |
| 0 0 2 | 33.79 | 343 |
| 1 1 2 | 47.87 | 320 |
| 2 1 1 | 56.13 | 308 |
| 0 0 1 | 16.71 | 262 |
| 2 0 0 | 47.19 | 259 |

Crystal structure
```
TaNiPO2
1.0
3.852 0.000 0.000
0.000 3.852 0.000
0.000 0.000 5.305
Ta Ni P O
1 1 1 2
Direct
0.000 0.000 0.000
0.500 0.500 0.500
0.000 0.000 0.500
0.000 0.500 0.000
0.500 0.000 0.000
```